Diffraction record for LaAl12Co4. The XRD peak list is simulated, not measured: it uses a structure optimized by DFT (PBE) and Cu Kα (weighted mean of Kα1 and Kα2).
Neutral-atom scattering factors, no anomalous dispersion.

The 12 most intense peaks (15° ≤ 2θ ≤ 90°), in order of rising 2θ:
- 19.77 deg, I = 66.7, hkl 2 0 0
- 24.28 deg, I = 72.2, hkl 2 1 1
- 28.11 deg, I = 82.9, hkl 2 2 0
- 31.50 deg, I = 35.9, hkl 3 1 0
- 37.47 deg, I = 28.9, hkl 3 2 1
- 40.17 deg, I = 100.0, hkl 4 0 0
- 42.72 deg, I = 22.3, hkl 3 3 0
- 45.15 deg, I = 26.6, hkl 4 2 0
- 49.74 deg, I = 34.8, hkl 4 2 2
- 51.92 deg, I = 20.9, hkl 4 3 1
- 56.10 deg, I = 20.5, hkl 5 2 1
- 58.11 deg, I = 63.5, hkl 4 4 0

Structure:
```
data_LaAl12Co4
_chemical_formula_sum 'La2 Al24 Co8'
_symmetry_space_group_name_H-M 'I m -3 m'
_symmetry_Int_Tables_number 229
_symmetry_space_group_name_Hall '-I 4 2 3'
_cell_length_a 8.9801
_cell_length_b 8.9801
_cell_length_c 8.9801
_cell_angle_alpha 90.00
_cell_angle_beta 90.00
_cell_angle_gamma 90.00
loop_
_atom_site_label
_atom_site_fract_x
_atom_site_fract_y
_atom_site_fract_z
La1 0.0000 0.0000 0.0000
Al1 0.0000 0.2610 0.2610
Co1 0.2500 0.2500 0.2500
```